Diffraction record for Ho9Er3Th2. The powder X-ray diffraction pattern is theoretical, not measured: it uses DFT lattice parameters and positions (PBE) and CuKα.

Structural model:
```
Ho9Er3Th2
1.0
-2.7232 5.0945 8.2225
2.7232 -5.0945 8.2225
2.7232 5.0945 -8.2225
Ho Er Th
9 3 2
direct
0.0000 0.0000 0.0000 Ho
0.1029 0.8739 0.2291 Ho
0.1596 0.3113 0.8484 Ho
0.3552 0.1261 0.2291 Ho
0.4629 0.3113 0.1516 Ho
0.5371 0.6887 0.8484 Ho
0.6448 0.8739 0.7709 Ho
0.8404 0.6887 0.1516 Ho
0.8971 0.1261 0.7709 Ho
0.1788 0.6788 0.5000 Er
0.5000 0.0000 0.5000 Er
0.8212 0.3212 0.5000 Er
0.2308 0.5000 0.7308 Th
0.7692 0.5000 0.2692 Th
```

Peak list (10 most intense, 5 to 70 degrees two-theta, sorted by position)
d_spacing	I/Imax
5.094	178
3.078	1000
2.884	437
2.815	450
2.741	241
2.722	847
2.464	389
1.932	206
1.633	159
1.555	249